Calculated powder diffraction line list of Cs4TcGeSe6 for Cu Ka, from the GGA-PBE geometry in OQMD.
Kinematic intensities with the Lorentz-polarization factor, no thermal factor.

Lattice parameters (Å, degrees): 7.4645 8.1358 9.7726 71.44 68.06 63.37
Space group P1 (No. 1)
Unique sites:
Cs (0.0000, 0.0000, 0.0000)
Cs (0.1730, 0.3773, 0.2709)
Cs (0.3953, 0.7543, 0.4645)
Cs (0.7580, 0.6478, 0.8217)
Tc (0.7057, 0.1362, 0.4530)
Ge (0.4590, 0.2478, 0.8282)
Se (0.2754, 0.5602, 0.8703)
Se (0.3718, 0.1812, 0.6285)
Se (0.4704, 0.0146, 0.0458)
Se (0.6934, 0.3669, 0.2381)
Se (0.8070, 0.1969, 0.6305)
Se (0.8867, 0.8292, 0.4100)

Largest 10 diffraction maxima, in order of rising 2θ, 2θ from 10° to 80°:
- 6.041 Å, I = 23.7, hkl 1 0 1
- 3.732 Å, I = 100.0, hkl 2 1 1
- 3.549 Å, I = 95.9, hkl 0 2 1
- 3.507 Å, I = 77.4, hkl 0 1 -2
- 3.034 Å, I = 29.4, hkl 1 0 3
- 2.940 Å, I = 46.1, hkl 0 1 3
- 2.871 Å, I = 24.0, hkl 2 1 -1
- 2.555 Å, I = 42.5, hkl 2 3 2
- 2.205 Å, I = 29.4, hkl 0 3 -1
- 1.866 Å, I = 25.0, hkl 4 2 2

Calculated powder diffraction line list of Cs2ZnGe3Se8 for Cu Ka, from the GGA-PBE geometry in OQMD.
Kinematic intensities with the Lorentz-polarization factor, no thermal factor.

Lattice parameters (Å, degrees): 7.6984 13.3746 17.9341 90.00 90.00 90.00
Space group P2_12_12_1 (No. 19)
Unique sites:
Cs (0.2450, 0.1966, 0.3480)
Cs (0.2476, 0.1271, 0.9463)
Zn (0.0114, 0.9964, 0.6513)
Ge (0.0115, 0.5211, 0.3480)
Ge (0.2345, 0.5491, 0.6791)
Ge (0.2361, 0.5559, 0.0179)
Se (0.0015, 0.9038, 0.0467)
Se (0.0030, 0.9087, 0.2599)
Se (0.0155, 0.1089, 0.7626)
Se (0.0200, 0.1093, 0.5392)
Se (0.2352, 0.3744, 0.6420)
Se (0.2380, 0.1232, 0.1504)
Se (0.2381, 0.3783, 0.8460)
Se (0.2405, 0.3806, 0.0543)

Largest 10 diffraction maxima, in order of rising 2θ, 2θ from 10° to 80°:
- 6.683 Å, I = 42.3, hkl 0 2 0
- 3.574 Å, I = 23.9, hkl 0 3 3
- 3.420 Å, I = 41.7, hkl 2 1 2
- 3.345 Å, I = 25.1, hkl 0 4 0
- 3.281 Å, I = 44.1, hkl 2 2 1
- 3.161 Å, I = 100.0, hkl 0 2 5
- 2.200 Å, I = 23.0, hkl 2 4 4
- 1.973 Å, I = 23.3, hkl 2 5 4
- 1.925 Å, I = 24.9, hkl 4 0 0
- 1.644 Å, I = 25.8, hkl 4 2 5

Which formula does entry 2 have? Cs2ZnGe3Se8